This entry pairs a crystal structure of Ca4YB3O10 with its theoretical powder XRD pattern. Radiation: a wavelength of 1.5418 Å. Structure: DFT lattice parameters and positions (PBE).

Cell and atoms:
a = 8.1368 Å, b = 16.1556 Å, c = 3.5575 Å
α = 90.00°, β = 101.18°, γ = 90.00°
Space group Cm (No. 8)
Symmetry-distinct sites (fractional):
Ca 0.0000 0.1123 0.0000
Ca 0.1207 0.3182 0.3285
Y 0.3617 0.0000 0.6778
B 0.2321 0.5000 0.3736
B 0.3062 0.1946 0.7521
O 0.0577 0.5000 0.2803
O 0.1481 0.1733 0.5549
O 0.1904 0.0000 0.0985
O 0.3182 0.4255 0.4201
O 0.3267 0.2694 0.9446
O 0.4421 0.1416 0.7522

Principal peaks in the range 2θ from 10° to 90°, by angle:
| d_spacing | I/Imax | h k l |
| --- | --- | --- |
| 7.157 | 42 | 1 1 0 |
| 4.464 | 49 | 1 3 0 |
| 3.578 | 46 | 2 2 0 |
| 2.995 | 85 | 1 5 0 |
| 2.942 | 100 | 1 1 1 |
| 2.923 | 89 | 2 0 -1 |
| 2.839 | 51 | 2 4 0 |
| 2.749 | 41 | 2 2 -1 |
| 1.899 | 48 | 3 5 -1 |
| 1.768 | 37 | 1 1 -2 |

=====

This entry pairs a crystal structure of Ho2NbPt9 with its theoretical powder XRD pattern. Radiation: a wavelength of 1.5418 Å. Structure: DFT lattice parameters and positions (PBE).

Cell and atoms:
a = 4.0775 Å, b = 4.0775 Å, c = 12.2134 Å
α = 90.00°, β = 90.00°, γ = 90.00°
Space group P4/mmm (No. 123)
Symmetry-distinct sites (fractional):
Ho 0.0000 0.0000 0.1662
Nb 0.0000 0.0000 0.5000
Pt 0.0000 0.5000 0.0000
Pt 0.0000 0.5000 0.3442
Pt 0.5000 0.5000 0.1721
Pt 0.5000 0.5000 0.5000

Principal peaks in the range 2θ from 10° to 90°, by angle:
| d_spacing | I/Imax | h k l |
| --- | --- | --- |
| 4.076 | 1 | 1 0 0 |
| 2.882 | 1 | 1 1 0 |
| 2.443 | 1 | 0 0 5 |
| 2.353 | 100 | 1 1 3 |
| 2.038 | 49 | 2 0 0 |
| 1.441 | 32 | 2 2 0 |
| 1.349 | 1 | 1 1 8 |
| 1.229 | 26 | 3 1 3 |
| 1.228 | 11 | 1 1 9 |
| 1.176 | 11 | 2 2 6 |